# 1
# CoH4Cl2O2
Simulated powder X-ray diffraction pattern, Cu Kα (λ = 1.5418 Å). Input: a DFT-relaxed cell (GGA+U, the Materials Project).
No peak broadening, texture or thermal motion is included.

a = 5.686 Å, b = 5.686 Å, c = 3.603 Å
α = 96.91°, β = 96.91°, γ = 97.47°
Positions (direct):
Co: 0.000 0.000 0.000
H: 0.216 0.603 0.845
H: 0.397 0.784 0.155
H: 0.603 0.216 0.845
H: 0.784 0.397 0.155
Cl: 0.235 0.235 0.583
Cl: 0.765 0.765 0.417
O: 0.239 0.761 0.000
O: 0.761 0.239 0.000

Peak list (8 most intense, 5 to 70 degrees two-theta, low angle first)
d (Å)	two_theta	Rel. int.
5.584	15.87	100
4.274	20.78	51
2.823	31.69	79
2.358	38.16	18
2.350	38.31	27
2.147	42.09	21
2.137	42.29	21
2.060	43.95	24

***

# 2
# CoH2Cl2O
Simulated powder X-ray diffraction pattern, Cu Kα (λ = 1.5418 Å). Input: a DFT-relaxed cell (GGA+U, the Materials Project).
No peak broadening, texture or thermal motion is included.

a = 8.881 Å, b = 3.575 Å, c = 11.475 Å
α = 90.00°, β = 90.00°, γ = 90.00°
Positions (direct):
Co: 0.179 0.250 0.019
Co: 0.321 0.750 0.519
Co: 0.679 0.250 0.481
Co: 0.821 0.750 0.981
H: 0.055 0.750 0.639
H: 0.191 0.750 0.732
H: 0.309 0.250 0.232
H: 0.445 0.250 0.139
H: 0.555 0.750 0.861
H: 0.691 0.750 0.768
H: 0.809 0.250 0.268
H: 0.945 0.250 0.361
Cl: 0.034 0.750 0.123
Cl: 0.194 0.250 0.409
Cl: 0.306 0.750 0.909
Cl: 0.466 0.250 0.623
Cl: 0.534 0.750 0.377
Cl: 0.694 0.250 0.091
Cl: 0.806 0.750 0.591
Cl: 0.966 0.250 0.877
O: 0.165 0.750 0.648
O: 0.335 0.250 0.148
O: 0.665 0.750 0.852
O: 0.835 0.250 0.352

Peak list (8 most intense, 5 to 70 degrees two-theta, low angle first)
d (Å)	two_theta	Rel. int.
7.023	12.60	81
5.738	15.44	100
2.871	31.15	38
2.706	33.11	29
2.505	35.84	60
2.341	38.45	36
2.251	40.05	29
1.887	48.24	51

***

# 3
# CoH8Se2Cl2O8
Simulated powder X-ray diffraction pattern, Cu Kα (λ = 1.5418 Å). Input: a DFT-relaxed cell (GGA+U, the Materials Project).
No peak broadening, texture or thermal motion is included.

a = 5.174 Å, b = 14.971 Å, c = 6.560 Å
α = 90.00°, β = 93.15°, γ = 90.00°
Positions (direct):
Co: 0.000 0.000 0.000
Co: 0.000 0.500 0.500
H: 0.083 0.197 0.214
H: 0.083 0.303 0.714
H: 0.227 0.556 0.152
H: 0.227 0.944 0.652
H: 0.293 0.730 0.666
H: 0.293 0.770 0.166
H: 0.423 0.578 0.340
H: 0.423 0.922 0.840
H: 0.577 0.078 0.160
H: 0.577 0.422 0.660
H: 0.707 0.230 0.834
H: 0.707 0.270 0.334
H: 0.773 0.056 0.348
H: 0.773 0.444 0.848
H: 0.917 0.697 0.286
H: 0.917 0.803 0.786
Se: 0.293 0.169 0.792
Se: 0.293 0.331 0.292
Se: 0.707 0.669 0.708
Se: 0.707 0.831 0.208
Cl: 0.237 0.558 0.804
Cl: 0.237 0.942 0.304
Cl: 0.763 0.058 0.696
Cl: 0.763 0.442 0.196
O: 0.046 0.245 0.313
O: 0.046 0.255 0.813
O: 0.237 0.116 0.015
O: 0.237 0.384 0.515
O: 0.240 0.568 0.301
O: 0.240 0.932 0.801
O: 0.465 0.745 0.614
O: 0.465 0.755 0.114
O: 0.535 0.245 0.886
O: 0.535 0.255 0.386
O: 0.760 0.068 0.199
O: 0.760 0.432 0.699
O: 0.763 0.616 0.485
O: 0.763 0.884 0.985
O: 0.954 0.745 0.187
O: 0.954 0.755 0.687

Peak list (8 most intense, 5 to 70 degrees two-theta, low angle first)
d (Å)	two_theta	Rel. int.
6.001	14.76	66
4.929	17.99	90
4.884	18.16	56
4.252	20.89	24
3.821	23.28	20
3.495	25.49	25
3.200	27.88	100
2.591	34.63	50